(1)
Pm7SmDy3: theoretical X-ray powder pattern (Cu Kα (weighted mean of Kα1 and Kα2)), based on a structure optimized by DFT (PBE).
Kinematic intensities with the Lorentz-polarization factor, no thermal factor.

Structure:
```
Pm7SmDy3
1.0
6.5668 0.0000 0.0000
-0.7098 6.7374 0.0000
-1.3434 -1.6633 8.4905
Pm Sm Dy
7 1 3
direct
0.0000 0.0000 0.0000
0.0576 0.7122 0.6418
0.2160 0.2257 0.7092
0.4844 0.7367 0.9166
0.5156 0.2633 0.0834
0.7840 0.7743 0.2908
0.9424 0.2878 0.3582
0.0000 0.5000 0.0000
0.3147 0.9348 0.3351
0.5000 0.5000 0.5000
0.6853 0.0652 0.6649
```

Largest 10 diffraction maxima, in order of rising 2θ, 15° ≤ 2θ ≤ 90°:
d (Å)  I_rel
3.299  160
2.893  198
2.861  403
2.840  644
2.830  178
2.809  1000
2.776  114
2.717  260
2.636  146
1.624  115

(2)
Pm7Sm2Dy2: theoretical X-ray powder pattern (Cu Kα (weighted mean of Kα1 and Kα2)), based on a structure optimized by DFT (PBE).
Kinematic intensities with the Lorentz-polarization factor, no thermal factor.

Structure:
```
Pm7Sm2Dy2
1.0
-2.8419 8.0487 4.1181
2.8419 -8.0487 4.1181
2.8419 8.0487 -4.1181
Pm Sm Dy
7 2 2
direct
0.0000 0.0000 0.0000
0.1359 0.2974 0.8385
0.1400 0.5048 0.6352
0.4589 0.2974 0.1615
0.4616 0.0947 0.3669
0.7278 0.0947 0.6331
0.8696 0.5048 0.3648
0.0020 0.8010 0.2010
0.6001 0.8010 0.7990
0.2987 0.7987 0.5000
0.5839 0.5839 0.0000
```

Largest 10 diffraction maxima, in order of rising 2θ, 15° ≤ 2θ ≤ 90°:
d (Å)  I_rel
3.051  301
2.842  369
2.832  1000
2.801  180
2.706  128
2.683  125
1.763  103
1.639  207
1.498  122
1.472  124

(3)
PmSm8Dy4: theoretical X-ray powder pattern (Cu Kα (weighted mean of Kα1 and Kα2)), based on a structure optimized by DFT (PBE).
Kinematic intensities with the Lorentz-polarization factor, no thermal factor.

Structure:
```
PmSm8Dy4
1.0
7.8466 0.0000 0.0000
0.0000 7.8466 0.0000
0.0000 0.0000 7.8466
Pm Sm Dy
1 8 4
direct
0.0000 0.0000 0.0000
0.2606 0.2606 0.2606
0.2606 0.2606 0.7394
0.2606 0.7394 0.2606
0.2606 0.7394 0.7394
0.7394 0.2606 0.2606
0.7394 0.2606 0.7394
0.7394 0.7394 0.2606
0.7394 0.7394 0.7394
0.0000 0.0000 0.5000
0.0000 0.5000 0.0000
0.5000 0.0000 0.0000
0.5000 0.5000 0.5000
```

Largest 10 diffraction maxima, in order of rising 2θ, 15° ≤ 2θ ≤ 90°:
d (Å)  I_rel
4.530  145
3.923  51
3.509  49
2.774  1000
2.366  81
1.962  180
1.602  370
1.387  112
1.241  152
1.133  38

> Number 3 is which compound?

PmSm8Dy4